Calculated powder diffractogram
Compound: Al17Si4Pd8
Radiation: Cu Kα
Structure: the PBE geometry in OQMD
Neutral-atom scattering factors, no anomalous dispersion.

The 10 most intense peaks (2θ from 10° to 90°), in order of rising 2θ:
24.4°, intensity 67, hkl 1 0 3; 25.1°, intensity 78, hkl 2 2 2; 26.3°, intensity 90, hkl 3 2 1; 27.0°, intensity 59, hkl 3 1 2; 29.8°, intensity 48, hkl 1 4 1; 36.0°, intensity 53, hkl 3 4 1; 42.6°, intensity 59, hkl 5 0 3; 42.7°, intensity 54, hkl 2 1 5; 44.9°, intensity 100, hkl 2 4 4; 46.1°, intensity 53, hkl 4 5 1

Structural model:
```
data_Al17Si4Pd8
_chemical_formula_sum 'Al68 Si16 Pd32'
_cell_length_a 12.801
_cell_length_b 12.801
_cell_length_c 11.393
_cell_angle_alpha 90.00
_cell_angle_beta 90.00
_cell_angle_gamma 90.00
_space_group_name_H-M_alt 'I 41/a'
_space_group_IT_number 88
loop_
_space_group_symop_operation_xyz
'x,y,z'
'-x,-y,-z'
'-y+3/4,x+1/4,z+1/4'
'y+3/4,-x+1/4,-z+1/4'
'-x+1/2,-y,z+1/2'
'x+1/2,y,-z+1/2'
'y+3/4,-x+3/4,z+3/4'
'-y+3/4,x+3/4,-z+3/4'
'x+1/2,y+1/2,z+1/2'
'-x+1/2,-y+1/2,-z+1/2'
'-y+1/4,x+3/4,z+3/4'
'y+1/4,-x+3/4,-z+3/4'
'-x,-y+1/2,z'
'x,y+1/2,-z'
'y+1/4,-x+1/4,z+1/4'
'-y+1/4,x+1/4,-z+1/4'
loop_
_atom_site_label
_atom_site_fract_x
_atom_site_fract_y
_atom_site_fract_z
Al1 0.000 0.250 0.125
Al2 0.026 0.472 0.174
Al3 0.083 0.339 0.911
Al4 0.097 0.463 0.414
Al5 0.204 0.022 0.173
Si1 0.027 0.155 0.546
Pd1 0.085 0.090 0.995
Pd2 0.095 0.464 0.649
```